Starting from a crystal structure in OQMD, relaxed with PBE, the X-ray powder pattern of GdMgAlNi was computed for a wavelength of 1.5418 Å.
Kinematic intensities with the Lorentz-polarization factor, no thermal factor.

The 6 most intense peaks (2θ = 10–80°), in order of rising 2θ:
- 2θ = 23.02°, d = 3.863 Å, intensity 100.0
- 2θ = 23.76°, d = 3.745 Å, intensity 89.9
- 2θ = 33.16°, d = 2.702 Å, intensity 71.1
- 2θ = 33.48°, d = 2.677 Å, intensity 86.0
- 2θ = 36.47°, d = 2.464 Å, intensity 78.8
- 2θ = 36.91°, d = 2.435 Å, intensity 78.3

Structural model:
Cell lengths 9.891, 4.196, 7.493 Å; angles 90.00, 91.36, 90.00 degrees
Sites, in units of the cell vectors:
Gd 0.061 0.000 0.265
Gd 0.439 0.500 0.735
Gd 0.561 0.500 0.265
Gd 0.939 0.000 0.735
Mg 0.152 0.500 0.946
Mg 0.348 0.000 0.054
Mg 0.652 0.000 0.946
Mg 0.848 0.500 0.054
Al 0.152 0.500 0.557
Al 0.348 0.000 0.443
Al 0.652 0.000 0.557
Al 0.848 0.500 0.443
Ni 0.221 0.000 0.723
Ni 0.279 0.500 0.277
Ni 0.721 0.500 0.723
Ni 0.779 0.000 0.277

Starting from a crystal structure in OQMD, relaxed with PBE, the X-ray powder pattern of TcXeO4F5 was computed for a wavelength of 1.5418 Å.
Kinematic intensities with the Lorentz-polarization factor, no thermal factor.

The 6 most intense peaks (2θ = 10–80°), in order of rising 2θ:
- 2θ = 20.90°, d = 4.251 Å, intensity 39.6
- 2θ = 21.90°, d = 4.059 Å, intensity 92.2
- 2θ = 22.75°, d = 3.908 Å, intensity 60.4
- 2θ = 23.62°, d = 3.767 Å, intensity 81.6
- 2θ = 27.26°, d = 3.272 Å, intensity 100.0
- 2θ = 46.01°, d = 1.973 Å, intensity 35.2

Structural model:
Cell lengths 8.677, 8.677, 5.065 Å; angles 90.00, 90.00, 128.54 degrees
Sites, in units of the cell vectors:
Tc 0.101 0.899 0.500
Tc 0.899 0.101 0.000
Xe 0.376 0.624 0.651
Xe 0.624 0.376 0.151
O 0.121 0.481 0.519
O 0.147 0.853 0.799
O 0.185 0.815 0.295
O 0.481 0.121 0.019
O 0.519 0.879 0.519
O 0.815 0.185 0.795
O 0.853 0.147 0.299
O 0.879 0.519 0.019
F 0.022 0.978 0.161
F 0.170 0.316 0.981
F 0.305 0.695 0.987
F 0.316 0.170 0.481
F 0.461 0.539 0.336
F 0.539 0.461 0.836
F 0.684 0.830 0.981
F 0.695 0.305 0.487
F 0.830 0.684 0.481
F 0.978 0.022 0.661

Starting from a crystal structure in OQMD, relaxed with PBE, the X-ray powder pattern of SmSn3 was computed for a wavelength of 1.5418 Å.
Kinematic intensities with the Lorentz-polarization factor, no thermal factor.

The 6 most intense peaks (2θ = 10–80°), in order of rising 2θ:
- 2θ = 18.76°, d = 4.731 Å, intensity 1.0
- 2θ = 32.79°, d = 2.732 Å, intensity 100.0
- 2θ = 38.04°, d = 2.366 Å, intensity 50.5
- 2θ = 54.89°, d = 1.673 Å, intensity 35.6
- 2θ = 65.42°, d = 1.427 Å, intensity 42.6
- 2θ = 68.73°, d = 1.366 Å, intensity 12.3

Structural model:
Cell lengths 4.731, 4.731, 4.731 Å; angles 90.00, 90.00, 90.00 degrees
Sites, in units of the cell vectors:
Sm 0.000 0.000 0.000
Sn 0.000 0.500 0.500
Sn 0.500 0.000 0.500
Sn 0.500 0.500 0.000

Starting from a crystal structure in OQMD, relaxed with PBE, the X-ray powder pattern of GdHfCS was computed for a wavelength of 1.5418 Å.
Kinematic intensities with the Lorentz-polarization factor, no thermal factor.

The 6 most intense peaks (2θ = 10–80°), in order of rising 2θ:
- 2θ = 28.20°, d = 3.165 Å, intensity 21.0
- 2θ = 29.20°, d = 3.058 Å, intensity 30.5
- 2θ = 30.06°, d = 2.973 Å, intensity 39.7
- 2θ = 36.28°, d = 2.476 Å, intensity 100.0
- 2θ = 51.78°, d = 1.766 Å, intensity 29.1
- 2θ = 64.86°, d = 1.438 Å, intensity 18.2

Structural model:
Cell lengths 3.531, 3.531, 12.660 Å; angles 90.00, 90.00, 120.00 degrees
Sites, in units of the cell vectors:
Gd 0.000 0.000 0.153
Gd 0.000 0.000 0.847
Hf 0.667 0.333 0.359
Hf 0.667 0.333 0.641
C 0.333 0.667 0.275
C 0.333 0.667 0.725
S 0.000 0.000 0.500
S 0.667 0.333 0.000